Record 1
Starting from a DFT-relaxed cell (PBE, Alexandria), the powder diffraction line list of Pm4Si2Ag5 was computed for Cu Kα, 1.54184 Å.
Intensities are scaled so that the largest is 100.

Structure:
```
Pm4Si2Ag5
1.0
7.151 0.000 0.000
0.000 4.235 0.000
-0.737 0.000 8.583
Pm Si Ag
4 2 5
direct
0.206 0.000 0.361
0.238 0.000 0.919
0.762 0.000 0.081
0.794 0.000 0.639
0.072 0.500 0.130
0.928 0.500 0.870
0.149 0.500 0.636
0.448 0.500 0.164
0.500 0.500 0.500
0.552 0.500 0.836
0.851 0.500 0.364
```

Main lines, by angle (2θ = 10–90°):
2θ (°)	Rel. int.
31.52	96
32.85	95
32.95	100
34.78	31
35.19	29
37.92	69
38.64	21
42.13	29
42.70	52
56.21	22
58.40	22
69.58	22

***

Record 2
Starting from a DFT-relaxed cell (PBE, Alexandria), the powder diffraction line list of ErBi2IrO8 was computed for Cu Kα, 1.54184 Å.
Intensities are scaled so that the largest is 100.

Structure:
```
ErBi2IrO8
1.0
5.071 0.000 0.000
0.000 6.766 0.000
-0.034 0.000 5.103
Er Bi Ir O
1 2 1 8
direct
0.000 0.000 0.000
0.500 0.254 0.500
0.500 0.746 0.500
0.000 0.500 0.000
0.159 0.276 0.202
0.159 0.724 0.202
0.293 0.500 0.775
0.326 0.000 0.706
0.674 0.000 0.294
0.707 0.500 0.225
0.841 0.276 0.798
0.841 0.724 0.798
```

Main lines, by angle (2θ = 10–90°):
2θ (°)	Rel. int.
24.67	54
24.83	55
31.76	100
35.17	15
35.40	17
48.04	19
48.20	39
48.36	19
57.27	10
60.48	19
60.96	10
61.30	11

***

Record 3
Starting from a DFT-relaxed cell (PBE, Alexandria), the powder diffraction line list of Ba3AgCl was computed for Cu Kα, 1.54184 Å.
Intensities are scaled so that the largest is 100.

Structure:
```
Ba3AgCl
1.0
6.502 0.000 0.000
0.000 6.502 0.000
0.000 0.000 6.502
Ba Ag Cl
3 1 1
direct
0.000 0.000 0.500
0.000 0.500 0.000
0.500 0.000 0.000
0.000 0.000 0.000
0.500 0.500 0.500
```

Main lines, by angle (2θ = 10–90°):
2θ (°)	Rel. int.
13.62	73
23.70	66
27.43	100
30.75	43
39.19	76
41.67	24
46.31	32
48.50	27
58.53	14
62.24	13
64.04	35
71.02	26

***

Record 4
Starting from a DFT-relaxed cell (PBE, Alexandria), the powder diffraction line list of Pu3GeI3 was computed for Cu Kα, 1.54184 Å.
Intensities are scaled so that the largest is 100.

Structure:
```
Pu3GeI3
1.0
-6.198 6.198 6.198
6.198 -6.198 6.198
6.198 6.198 -6.198
Pu Ge I
12 4 12
direct
0.015 0.029 0.265
0.015 0.485 0.750
0.029 0.265 0.015
0.235 0.265 0.750
0.235 0.471 0.485
0.265 0.015 0.029
0.265 0.750 0.235
0.471 0.485 0.235
0.485 0.235 0.471
0.485 0.750 0.015
0.750 0.015 0.485
0.750 0.235 0.265
0.000 0.250 0.500
0.250 0.250 0.250
0.250 0.500 0.000
0.500 0.000 0.250
0.250 0.756 0.744
0.250 0.994 0.506
0.506 0.250 0.994
0.506 0.756 0.513
0.513 0.506 0.756
0.744 0.250 0.756
0.744 0.994 0.987
0.756 0.513 0.506
0.756 0.744 0.250
0.987 0.744 0.994
0.994 0.506 0.250
0.994 0.987 0.744
```

Main lines, by angle (2θ = 10–90°):
2θ (°)	Rel. int.
10.09	25
24.88	7
26.91	28
28.81	100
33.92	17
41.20	72
51.05	25
54.39	14
58.64	12
59.68	11
67.60	28
75.09	20

***

Record 5
Starting from a DFT-relaxed cell (PBE, Alexandria), the powder diffraction line list of ThScAl2Cu2 was computed for Cu Kα, 1.54184 Å.
Intensities are scaled so that the largest is 100.

Structure:
```
ThScAl2Cu2
1.0
4.338 0.000 0.000
-2.169 3.757 0.000
0.000 0.000 7.128
Th Sc Al Cu
1 1 2 2
direct
0.000 0.000 0.000
0.000 0.000 0.500
0.333 0.667 0.710
0.667 0.333 0.290
0.333 0.667 0.301
0.667 0.333 0.699
```

Main lines, by angle (2θ = 10–90°):
2θ (°)	Rel. int.
12.42	19
23.68	31
26.83	74
34.69	100
41.64	52
50.23	14
55.28	26
57.21	12
57.54	21
67.23	12
68.10	13
71.53	24

***

Record 6
Starting from a DFT-relaxed cell (PBE, Alexandria), the powder diffraction line list of MgGaAu3 was computed for Cu Kα, 1.54184 Å.
Intensities are scaled so that the largest is 100.

Structure:
```
MgGaAu3
1.0
4.613 0.000 0.000
0.000 6.757 0.000
-1.777 0.000 6.174
Mg Ga Au
2 2 6
direct
0.158 0.250 0.254
0.842 0.750 0.746
0.082 0.750 0.272
0.918 0.250 0.728
0.304 0.519 0.635
0.304 0.981 0.635
0.433 0.750 0.021
0.567 0.250 0.979
0.696 0.019 0.365
0.696 0.481 0.365
```

Main lines, by angle (2θ = 10–90°):
2θ (°)	Rel. int.
20.03	37
21.19	58
30.15	99
38.72	100
39.20	44
39.94	46
40.65	90
43.02	27
44.00	27
49.16	29
54.31	21
66.61	22

***

Record 7
Starting from a DFT-relaxed cell (PBE, Alexandria), the powder diffraction line list of Pr5Pu3As8 was computed for Cu Kα, 1.54184 Å.
Intensities are scaled so that the largest is 100.

Structure:
```
Pr5Pu3As8
1.0
4.245 2.451 6.918
-4.245 2.451 6.918
0.000 -4.902 6.918
Pr Pu As
5 3 8
direct
0.000 0.000 0.000
0.000 0.500 0.500
0.500 0.000 0.500
0.500 0.500 0.000
0.500 0.500 0.500
0.000 0.000 0.500
0.000 0.500 0.000
0.500 0.000 0.000
0.240 0.750 0.750
0.245 0.245 0.245
0.250 0.250 0.760
0.250 0.760 0.250
0.750 0.240 0.750
0.750 0.750 0.240
0.755 0.755 0.755
0.760 0.250 0.250
```

Main lines, by angle (2θ = 10–90°):
2θ (°)	Rel. int.
12.79	7
25.72	29
29.78	100
42.62	75
50.45	15
52.83	20
52.94	7
61.86	12
68.10	5
70.15	34
77.99	19
78.14	6

***

Record 8
Starting from a DFT-relaxed cell (PBE, Alexandria), the powder diffraction line list of Np3Si4Rh11 was computed for Cu Kα, 1.54184 Å.
Intensities are scaled so that the largest is 100.

Structure:
```
Np3Si4Rh11
1.0
5.407 0.000 0.000
-2.704 4.683 0.000
0.000 0.000 11.753
Np Si Rh
3 4 11
direct
0.000 0.000 0.000
0.000 0.000 0.329
0.000 0.000 0.671
0.333 0.667 0.342
0.333 0.667 0.658
0.667 0.333 0.342
0.667 0.333 0.658
0.000 0.500 0.186
0.000 0.500 0.500
0.000 0.500 0.814
0.333 0.667 0.000
0.500 0.000 0.186
0.500 0.000 0.500
0.500 0.000 0.814
0.500 0.500 0.186
0.500 0.500 0.500
0.500 0.500 0.814
0.667 0.333 0.000
```

Main lines, by angle (2θ = 10–90°):
2θ (°)	Rel. int.
29.73	91
33.14	25
38.45	73
40.54	100
46.35	21
57.10	30
61.75	29
64.23	26
69.54	22
77.42	13
81.94	12
87.72	21